Structure and computed powder diffractogram of LiPrNdO2 (a cell relaxed with GGA-PBE; Cu Kα).
Neutral-atom scattering factors, no anomalous dispersion.

Crystal structure
```
LiPrNdO2
1.0
3.539 0.000 0.000
-1.769 3.065 0.000
0.000 0.000 27.014
Li Pr Nd O
3 3 3 6
Cartesian
0.000 0.000 0.000
0.000 2.043 18.009
1.769 1.022 9.005
0.000 0.000 3.538
0.000 2.043 21.547
1.769 1.022 12.543
0.000 0.000 15.497
0.000 2.043 6.492
1.769 1.022 24.502
0.000 0.000 7.812
0.000 0.000 23.183
0.000 2.043 14.179
0.000 2.043 25.822
1.769 1.022 5.174
1.769 1.022 16.817
```

The 10 most intense peaks (10 to 90 degrees two-theta), sorted by position:
2θ (°)	d (Å)	I (rel.)
19.72	4.502	259
29.77	3.002	384
29.90	2.989	1000
32.07	2.791	754
33.62	2.666	518
37.47	2.400	906
47.44	1.916	376
51.66	1.769	387
56.35	1.633	197
60.79	1.524	463


Structure and computed powder diffractogram of LiPrNdO2 (a cell relaxed with GGA-PBE; Cu Kα).
Neutral-atom scattering factors, no anomalous dispersion.

Crystal structure
```
LiPrNdO2
1.0
5.971 0.000 0.000
0.000 4.738 0.000
-2.153 0.000 5.650
Li Pr Nd O
2 2 2 4
Cartesian
0.000 0.000 0.000
2.986 2.369 0.000
0.000 2.369 0.000
2.986 0.000 0.000
-1.077 0.000 2.825
1.909 2.369 2.825
-0.123 2.369 4.085
0.956 0.000 1.566
2.863 0.000 4.085
3.941 2.369 1.566
```

The 10 most intense peaks (10 to 90 degrees two-theta), sorted by position:
2θ (°)	d (Å)	I (rel.)
26.04	3.422	1000
31.67	2.825	336
32.08	2.790	321
32.35	2.767	937
36.32	2.474	364
37.98	2.369	322
49.13	1.854	278
49.70	1.834	274
50.26	1.815	192
53.56	1.711	231


Structure and computed powder diffractogram of LiNd4Rh4O12 (a cell relaxed with GGA-PBE; Cu Kα).
Neutral-atom scattering factors, no anomalous dispersion.

Crystal structure
```
LiNd4Rh4O12
1.0
5.726 0.000 0.000
0.000 7.747 0.000
-0.364 0.000 5.949
Li Nd Rh O
1 4 4 12
Cartesian
0.000 0.000 0.000
1.535 3.873 5.877
1.663 0.000 4.792
4.347 3.873 2.898
4.457 0.000 2.248
1.566 1.969 2.416
1.566 5.778 2.416
4.264 2.015 5.457
4.264 5.731 5.457
0.690 1.546 0.562
0.690 6.201 0.562
0.862 3.873 2.147
2.241 0.000 2.606
2.519 2.348 4.287
2.519 5.399 4.287
3.427 2.364 1.312
3.427 5.383 1.312
3.639 0.000 5.834
4.994 3.873 5.181
5.489 1.534 3.671
5.489 6.213 3.671
```

The 10 most intense peaks (10 to 90 degrees two-theta), sorted by position:
2θ (°)	d (Å)	I (rel.)
23.87	3.728	117
30.04	2.975	255
31.26	2.862	1000
32.17	2.782	764
42.51	2.127	111
45.33	2.001	121
46.91	1.937	227
55.08	1.667	153
56.85	1.620	157
57.48	1.603	143